The following is a theoretical powder diffraction line list of Na8Pb3Au2. It was derived from the PBE geometry in Alexandria, using Cu Ka.
No peak broadening, texture or thermal motion is included.

Peak list (12 most intense, 2θ = 10–90°, sorted by position)
Position (°2θ)  intensity  hkl
18.88  27  0 0 2
19.60  18  1 0 -2
20.14  28  0 1 1
22.18  44  1 1 -1
24.89  11  1 0 2
29.55  10  2 1 -1
33.34  100  1 1 -3
35.98  22  0 2 0
36.47  19  3 0 -2
43.26  11  1 0 4
52.13  20  3 2 -2
63.00  16  1 3 -3

Atomic structure:
```
data_Na8Pb3Au2
_chemical_formula_sum 'Na8 Pb3 Au2'
_cell_length_a 7.6733
_cell_length_b 4.9927
_cell_length_c 9.7269
_cell_angle_alpha 90.00
_cell_angle_beta 104.86
_cell_angle_gamma 90.00
_space_group_name_H-M_alt 'P 1 2/m 1'
_space_group_IT_number 10
loop_
_space_group_symop_operation_xyz
'x,y,z'
'-x,-y,-z'
'-x,y,-z'
'x,-y,z'
loop_
_atom_site_label
_atom_site_type_symbol
_atom_site_fract_x
_atom_site_fract_y
_atom_site_fract_z
Na1 Na 0.0585 0.0000 0.3422
Na2 Na 0.1330 0.5000 0.8953
Na3 Na 0.3368 0.5000 0.2607
Na4 Na 0.4054 0.0000 0.8246
Pb1 Pb 0.2179 0.5000 0.5783
Pb2 Pb 0.5000 0.0000 0.5000
Au1 Au 0.1847 0.0000 0.0682
```